The following is a theoretical XRD peak list of Ac6ZrO12. It was derived from a crystal structure in Alexandria, relaxed with PBE, using Cu Kα (λ = 1.5418 Å).
Lines closer than 0.1° are merged.

Cell and atoms:
a = 7.109 Å, b = 7.109 Å, c = 7.109 Å
α = 98.69°, β = 98.69°, γ = 98.69°
Element x y z (fractional)
Ac1 0.104 0.638 0.790
Ac2 0.210 0.896 0.362
Ac3 0.362 0.210 0.896
Ac4 0.638 0.790 0.104
Ac5 0.790 0.104 0.638
Ac6 0.896 0.362 0.210
Zr1 0.500 0.500 0.500
O1 0.055 0.323 0.908
O2 0.092 0.945 0.677
O3 0.204 0.546 0.436
O4 0.323 0.908 0.055
O5 0.436 0.204 0.546
O6 0.454 0.564 0.796
O7 0.546 0.436 0.204
O8 0.564 0.796 0.454
O9 0.677 0.092 0.945
O10 0.796 0.454 0.564
O11 0.908 0.055 0.323
O12 0.945 0.677 0.092

Most intense lines, 10° ≤ 2θ ≤ 90°, sorted by position:
5.394 Å, 2θ 16.4, intensity 11; 3.428 Å, 2θ 26.0, intensity 35; 3.340 Å, 2θ 26.7, intensity 100; 2.911 Å, 2θ 30.7, intensity 52; 2.079 Å, 2θ 43.5, intensity 32; 2.039 Å, 2θ 44.4, intensity 29; 1.777 Å, 2θ 51.4, intensity 16; 1.752 Å, 2θ 52.2, intensity 29; 1.740 Å, 2θ 52.6, intensity 13; 1.670 Å, 2θ 55.0, intensity 11; 1.324 Å, 2θ 71.3, intensity 10; 1.312 Å, 2θ 72.0, intensity 9

The following is a theoretical XRD peak list of AcZr2O5. It was derived from a crystal structure in Alexandria, relaxed with PBE, using Cu Kα (λ = 1.5418 Å).
Lines closer than 0.1° are merged.

Cell and atoms:
a = 3.822 Å, b = 12.186 Å, c = 5.797 Å
α = 90.00°, β = 90.00°, γ = 90.00°
Element x y z (fractional)
Ac1 0.250 0.250 0.098
Ac2 0.750 0.750 0.902
Zr1 0.250 0.606 0.401
Zr2 0.250 0.894 0.401
Zr3 0.750 0.106 0.599
Zr4 0.750 0.394 0.599
O1 0.250 0.072 0.450
O2 0.250 0.428 0.450
O3 0.250 0.629 0.068
O4 0.250 0.750 0.603
O5 0.250 0.871 0.068
O6 0.750 0.129 0.932
O7 0.750 0.250 0.397
O8 0.750 0.371 0.932
O9 0.750 0.572 0.550
O10 0.750 0.928 0.550

Most intense lines, 10° ≤ 2θ ≤ 90°, sorted by position:
6.093 Å, 2θ 14.5, intensity 59; 4.200 Å, 2θ 21.2, intensity 86; 3.327 Å, 2θ 26.8, intensity 54; 3.191 Å, 2θ 28.0, intensity 55; 3.087 Å, 2θ 28.9, intensity 100; 2.821 Å, 2θ 31.7, intensity 56; 2.784 Å, 2θ 32.2, intensity 79; 2.697 Å, 2θ 33.2, intensity 43; 2.160 Å, 2θ 41.8, intensity 45; 1.911 Å, 2θ 47.6, intensity 26; 1.840 Å, 2θ 49.5, intensity 48; 1.724 Å, 2θ 53.1, intensity 27